1.
For La5P, a DFT-relaxed cell (GGA-PBE, Alexandria) gives the theoretical powder diffractogram in this record (Cu Kα, 1.54184 Å).

The 6 most intense peaks (2θ = 10–80°), in order of falling intensity:
2θ = 31.0°, rel. 1000; 2θ = 27.8°, rel. 807; 2θ = 30.3°, rel. 742; 2θ = 32.4°, rel. 726; 2θ = 25.8°, rel. 578; 2θ = 32.1°, rel. 505

Cell and atoms:
Lattice parameters (Å, degrees): 11.978 3.880 8.752 90.00 100.35 90.00
Fractional positions:
La 0.000 0.000 0.000
La 0.078 0.000 0.422
La 0.195 0.500 0.777
La 0.303 0.000 0.189
La 0.404 0.000 0.661
La 0.500 0.500 0.000
La 0.578 0.500 0.422
La 0.695 0.000 0.777
La 0.803 0.500 0.189
La 0.904 0.500 0.661
P 0.276 0.500 0.446
P 0.776 0.000 0.446


2.
For Tm3Mg11, a DFT-relaxed cell (GGA-PBE, Alexandria) gives the theoretical powder diffractogram in this record (Cu Kα, 1.54184 Å).

The 6 most intense peaks (2θ = 10–80°), in order of falling intensity:
2θ = 19.5°, rel. 1000; 2θ = 15.8°, rel. 763; 2θ = 32.2°, rel. 749; 2θ = 34.8°, rel. 701; 2θ = 29.9°, rel. 605; 2θ = 32.7°, rel. 429

Cell and atoms:
Lattice parameters (Å, degrees): 8.776 8.776 8.776 147.07 100.35 88.90
Fractional positions:
Tm 0.000 0.000 0.000
Tm 0.279 0.279 0.000
Tm 0.721 0.721 0.000
Mg 0.005 0.632 0.373
Mg 0.128 0.855 0.272
Mg 0.259 0.632 0.627
Mg 0.347 0.500 0.847
Mg 0.417 0.145 0.272
Mg 0.500 0.000 0.500
Mg 0.583 0.855 0.728
Mg 0.653 0.500 0.153
Mg 0.741 0.368 0.373
Mg 0.872 0.145 0.728
Mg 0.995 0.368 0.627


3.
For TiPd5Pt4, a DFT-relaxed cell (GGA-PBE, Alexandria) gives the theoretical powder diffractogram in this record (Cu Kα, 1.54184 Å).

The 6 most intense peaks (2θ = 10–80°), in order of falling intensity:
2θ = 41.0°, rel. 1000; 2θ = 41.3°, rel. 760; 2θ = 45.4°, rel. 743; 2θ = 39.9°, rel. 509; 2θ = 39.6°, rel. 495; 2θ = 14.6°, rel. 330

Cell and atoms:
Lattice parameters (Å, degrees): 7.183 7.183 6.967 118.42 118.42 32.33
Fractional positions:
Ti 0.000 0.000 0.000
Pd 0.000 0.000 0.500
Pd 0.324 0.324 0.887
Pd 0.337 0.337 0.292
Pd 0.663 0.663 0.708
Pd 0.676 0.676 0.113
Pt 0.176 0.176 0.413
Pt 0.478 0.478 0.743
Pt 0.522 0.522 0.257
Pt 0.824 0.824 0.587